# Ho3Ni2B2C3
Simulated powder X-ray diffraction pattern, a wavelength of 1.5418 Å. Input: a DFT-relaxed cell (GGA-PBE, Alexandria).
Intensities are scaled so that the largest is 1000.

Structure:
Cell: 3.563 3.563 20.317 Å, 90.00 90.00 90.00°
Space group I4/mmm (No. 139)
One atom of each set of equivalent atoms:
Ho1 0.000 0.000 0.000
Ho2 0.000 0.000 0.378
Ni1 0.000 0.500 0.250
B1 0.000 0.000 0.196
C1 0.000 0.000 0.123
C2 0.000 0.000 0.500

Largest 8 diffraction maxima, low angle first, 2θ = 10–90°:
Position (°2θ), intensity, index
28.3, 1000, 1 0 3
33.4, 903, 1 0 5
35.3, 489, 0 0 8
35.6, 391, 1 1 0
36.8, 402, 1 1 2
39.9, 311, 1 1 4
51.3, 364, 2 0 0
63.8, 339, 2 0 8